MnV2O4: theoretical X-ray diffraction stick pattern (Cu Ka), based on a cell relaxed with PBE+U.
No peak broadening, texture or thermal motion is included.

Main lines, in order of falling intensity (2θ from 15° to 90°):
2θ (°)  I (rel.)
33.5  100
35.6  75
33.7  46
40.5  43
49.8  31
72.1  28
49.6  22
42.8  22
61.7  21
61.3  19
50.4  18
49.4  18

Cell and atoms:
a b c (Å): 9.2813 3.0079 10.6511
angles (deg): 90.00 90.00 90.00
Fractional coordinates of all 28 atoms:
1 Mn 0.2491 0.2500 0.1529
2 Mn 0.2509 0.7500 0.6529
3 Mn 0.7491 0.2500 0.3471
4 Mn 0.7509 0.7500 0.8471
5 V 0.0650 0.7500 0.8826
6 V 0.0857 0.7500 0.3974
7 V 0.4143 0.2500 0.8974
8 V 0.4350 0.2500 0.3826
9 V 0.5650 0.7500 0.6174
10 V 0.5857 0.7500 0.1026
11 V 0.9143 0.2500 0.6026
12 V 0.9350 0.2500 0.1174
13 O 0.0340 0.2500 0.2822
14 O 0.0865 0.7500 0.0715
15 O 0.1229 0.2500 0.5310
16 O 0.2060 0.2500 0.8250
17 O 0.2940 0.7500 0.3250
18 O 0.3771 0.7500 0.0310
19 O 0.4135 0.2500 0.5715
20 O 0.4660 0.7500 0.7822
21 O 0.5340 0.2500 0.2178
22 O 0.5865 0.7500 0.4285
23 O 0.6229 0.2500 0.9690
24 O 0.7060 0.2500 0.6750
25 O 0.7940 0.7500 0.1750
26 O 0.8771 0.7500 0.4690
27 O 0.9135 0.2500 0.9285
28 O 0.9660 0.7500 0.7178